For ReAgTe4, a DFT-relaxed cell (GGA-PBE, Alexandria) gives the computed XRD peak list in this record (Cu Ka).
Kinematic intensities with the Lorentz-polarization factor, no thermal factor.

Peak list (10 most intense, 2θ from 10° to 90°, sorted by position)
Position (°2θ)	d/Å	I_rel	index
10.73	8.243	71	0 0 1
15.64	5.667	55	0 1 1
28.74	3.106	100	1 2 0
30.24	2.955	66	1 1 3
31.23	2.864	73	2 0 0
40.11	2.248	33	1 1 4
40.75	2.214	28	-2 1 1
40.98	2.202	45	-1 1 3
42.22	2.141	35	1 3 0
43.69	2.072	42	3 1 2

Cell and atoms:
```
12
Lattice="6.3012 0.0000 0.0000 2.3967 6.4045 0.0000 2.9569 2.0654 8.2427" Properties=species:S:1:pos:R:3 pbc="T T T"
Re 2.3540 2.7819 0.6839
Re 9.3008 5.6881 7.5588
Ag 3.7413 1.3406 5.2048
Ag 7.9135 7.1294 3.0380
Te 1.8019 0.5128 1.9768
Te 4.8184 4.1536 6.4678
Te 3.9644 3.1584 2.9978
Te 6.8378 6.9555 8.0301
Te 4.8170 1.5145 0.2127
Te 7.6904 5.3115 5.2449
Te 6.8364 4.3164 1.7749
Te 9.8529 7.9571 6.2659
```